(1)
For CsRb2AlBr6, DFT lattice parameters and positions (GGA-PBE) gives the computed powder X-ray diffraction pattern in this record (Cu Kα).

Peak list (12 most intense, 2θ = 10–90°, most intense first)
two_theta	I (rel.)	(hkl)
30.29	100	4 0 0
26.16	72	2 2 2
43.37	61	4 4 0
33.09	40	3 3 1
21.30	33	2 2 0
15.01	27	2 0 0
39.69	23	3 3 3
60.23	22	7 3 1
25.03	20	3 1 1
51.36	18	6 2 2
53.82	18	4 4 4
71.50	18	8 4 0

Structure:
Cell lengths 11.801, 11.801, 11.801 Å; angles 90.00, 90.00, 90.00 degrees
Space group Fm-3m (No. 225)
Asymmetric unit:
Cs  0.000  0.000  0.000 (multiplicity 4)
Rb  0.250  0.250  0.250 (multiplicity 8)
Al  0.000  0.000  0.500 (multiplicity 4)
Br  0.000  0.000  0.286 (multiplicity 24)



(2)
For VSnPt, DFT lattice parameters and positions (GGA-PBE) gives the computed powder X-ray diffraction pattern in this record (Cu Kα).

Peak list (8 most intense, 2θ = 10–90°, most intense first)
two_theta	I (rel.)	(hkl)
41.35	100	2 2 0
24.97	78	1 1 1
48.92	40	3 1 1
75.40	35	4 2 2
59.91	17	4 0 0
65.93	17	3 3 1
80.88	13	5 1 1
89.85	12	4 4 0

Structure:
Cell lengths 6.176, 6.176, 6.176 Å; angles 90.00, 90.00, 90.00 degrees
Space group F-43m (No. 216)
Asymmetric unit:
V  0.000  0.000  0.000 (multiplicity 4)
Sn  0.000  0.000  0.500 (multiplicity 4)
Pt  0.250  0.250  0.750 (multiplicity 4)



(3)
For NaPb, DFT lattice parameters and positions (GGA-PBE) gives the computed powder X-ray diffraction pattern in this record (Cu Kα).

Peak list (12 most intense, 2θ = 10–90°, most intense first)
two_theta	I (rel.)	(hkl)
15.30	100	1 1 2
30.60	45	3 2 1
33.14	40	3 1 4
31.05	39	2 1 5
23.79	38	2 1 3
33.74	34	3 2 3
32.01	27	1 1 6
19.30	26	2 0 2
33.59	21	4 0 0
39.35	20	3 2 5
65.16	17	7 1 4
16.61	16	2 0 0

Structure:
Cell lengths 10.674, 10.674, 18.059 Å; angles 90.00, 90.00, 90.00 degrees
Space group I4_1/acd (No. 142, origin choice 2)
Asymmetric unit:
Na  0.119  0.000  0.250 (multiplicity 16)
Na  0.125  0.125  0.625 (multiplicity 16)
Pb  0.070  0.118  0.439 (multiplicity 32)



(4)
For CaZnGe4O12, DFT lattice parameters and positions (GGA-PBE) gives the computed powder X-ray diffraction pattern in this record (Cu Kα).

Peak list (12 most intense, 2θ = 10–90°, most intense first)
two_theta	I (rel.)	(hkl)
34.43	100	0 2 2
23.61	64	2 0 0
33.63	59	2 2 0
60.66	49	2 4 2
20.73	48	1 1 1
48.30	44	4 0 0
24.70	32	0 0 2
62.18	22	2 2 4
50.64	19	0 0 4
72.58	19	4 0 4
39.84	18	3 1 1
56.60	14	0 2 4

Structure:
Cell lengths 7.534, 7.540, 7.210 Å; angles 90.00, 90.00, 90.00 degrees
Space group Amm2 (No. 38)
Asymmetric unit:
Ca  0.000  0.000  0.000 (multiplicity 2)
Zn  0.500  0.000  0.446 (multiplicity 2)
Ge  0.261  0.236  0.720 (multiplicity 8)
O  0.000  0.201  0.723 (multiplicity 4)
O  0.211  0.000  0.250 (multiplicity 4)
O  0.239  0.198  0.972 (multiplicity 8)
O  0.311  0.000  0.650 (multiplicity 4)
O  0.500  0.197  0.257 (multiplicity 4)



(5)
For YBi3Se2ClO8, DFT lattice parameters and positions (GGA-PBE) gives the computed powder X-ray diffraction pattern in this record (Cu Kα).

Peak list (12 most intense, 2θ = 10–90°, most intense first)
two_theta	I (rel.)	(hkl)
31.61	100	2 2 1
29.38	83	2 2 0
11.45	67	0 0 1
25.69	31	2 0 1
14.55	30	1 1 0
29.66	24	1 3 0
24.77	22	0 1 2
49.94	19	2 4 2
38.53	19	0 4 1
34.00	17	2 1 2
46.14	16	3 2 2
23.02	15	0 0 2

Structure:
Cell lengths 7.762, 9.806, 7.726 Å; angles 90.00, 90.00, 90.00 degrees
Space group Pmmn (No. 59, origin choice 2)
Asymmetric unit:
Y  0.250  0.250  0.172 (multiplicity 2)
Bi  0.000  0.000  0.500 (multiplicity 4)
Bi  0.250  0.250  0.644 (multiplicity 2)
Se  0.250  0.568  0.917 (multiplicity 4)
Cl  0.250  0.750  0.420 (multiplicity 2)
O  0.072  0.594  0.786 (multiplicity 8)
O  0.250  0.102  0.387 (multiplicity 4)
O  0.250  0.110  0.934 (multiplicity 4)



(6)
For ThGaPt, DFT lattice parameters and positions (GGA-PBE) gives the computed powder X-ray diffraction pattern in this record (Cu Kα).

Peak list (12 most intense, 2θ = 10–90°, most intense first)
two_theta	I (rel.)	(hkl)
35.60	100	2 0 1
32.63	80	1 1 1
42.41	32	3 0 0
37.21	27	2 1 0
43.46	26	2 1 1
67.86	26	3 2 1
44.14	26	0 0 2
24.11	24	1 1 0
62.87	20	3 0 2
56.54	20	3 1 1
27.91	15	2 0 0
51.54	14	3 1 0

Structure:
Cell lengths 7.3824, 7.3824, 4.1036 Å; angles 90.00, 90.00, 120.00 degrees
Space group P-62m (No. 189)
Asymmetric unit:
Th  0.0000  0.5880  0.0000 (multiplicity 3)
Ga  0.0000  0.2432  0.5000 (multiplicity 3)
Pt  0.0000  0.0000  0.0000 (multiplicity 1)
Pt  0.3333  0.6667  0.5000 (multiplicity 2)



(7)
For La3Lu, DFT lattice parameters and positions (GGA-PBE) gives the computed powder X-ray diffraction pattern in this record (Cu Kα).

Peak list (12 most intense, 2θ = 10–90°, most intense first)
two_theta	I (rel.)	(hkl)
29.72	100	1 1 2
34.53	34	2 0 0
58.93	29	3 1 2
49.47	24	2 0 4
34.31	17	0 0 4
58.63	15	1 1 6
61.72	13	2 2 4
49.63	12	2 2 0
80.32	12	3 1 6
80.57	6	3 3 2
82.65	6	2 0 8
83.03	5	4 0 4

Structure:
Cell lengths 5.195, 5.195, 10.456 Å; angles 90.00, 90.00, 90.00 degrees
Space group I4/mmm (No. 139)
Asymmetric unit:
La  0.000  0.000  0.000 (multiplicity 2)
La  0.000  0.500  0.250 (multiplicity 4)
Lu  0.000  0.000  0.500 (multiplicity 2)



(8)
For K2HfF6, DFT lattice parameters and positions (GGA-PBE) gives the computed powder X-ray diffraction pattern in this record (Cu Kα).

Peak list (12 most intense, 2θ = 10–90°, most intense first)
two_theta	I (rel.)	(hkl)
15.69	100	1 0 0
30.04	56	1 0 1
27.36	47	1 1 0
50.06	43	2 1 1
41.07	34	2 0 1
48.35	19	3 0 0
65.27	16	3 1 1
59.99	10	1 1 2
37.71	10	1 1 1
73.95	10	3 0 2
78.77	9	3 2 1
31.69	8	2 0 0

Structure:
Cell lengths 6.5204, 6.5204, 3.5002 Å; angles 90.00, 90.00, 120.00 degrees
Space group P-62m (No. 189)
Asymmetric unit:
K  0.3333  0.6667  0.0000 (multiplicity 2)
Hf  0.0000  0.0000  0.5000 (multiplicity 1)
F  0.0000  0.2164  0.0000 (multiplicity 3)
F  0.0000  0.6818  0.5000 (multiplicity 3)



(9)
For Rb3RuF12, DFT lattice parameters and positions (GGA-PBE) gives the computed powder X-ray diffraction pattern in this record (Cu Kα).

Peak list (12 most intense, 2θ = 10–90°, most intense first)
two_theta	I (rel.)	(hkl)
23.67	100	1 1 1
31.82	87	2 2 -2
13.19	77	0 0 1
15.75	66	1 1 -1
30.46	59	2 2 0
36.72	50	0 4 2
24.91	42	0 4 0
18.13	27	0 2 1
28.09	24	2 2 -1
48.44	24	2 2 2
47.47	22	2 6 0
35.69	21	2 0 1

Structure:
Cell lengths 7.105, 14.302, 7.412 Å; angles 90.00, 115.08, 90.00 degrees
Space group C2/m (No. 12)
Asymmetric unit:
Rb  0.000  0.000  0.000 (multiplicity 2)
Rb  0.250  0.250  0.500 (multiplicity 4)
Ru  0.000  0.500  0.500 (multiplicity 2)
F  0.137  0.405  0.688 (multiplicity 8)
F  0.155  0.186  0.796 (multiplicity 8)
F  0.184  0.065  0.740 (multiplicity 8)



(10)
For KV10S16, DFT lattice parameters and positions (GGA-PBE) gives the computed powder X-ray diffraction pattern in this record (Cu Kα).

Peak list (12 most intense, 2θ = 10–90°, most intense first)
two_theta	I (rel.)	(hkl)
13.00	100	1 0 -2
34.99	99	1 2 3
10.77	95	1 0 0
43.20	88	3 2 -3
54.97	63	1 2 -9
41.08	58	2 2 3
10.40	58	0 0 2
33.67	47	2 0 -6
43.02	45	2 0 6
36.48	44	2 2 -3
56.92	34	0 4 0
39.70	30	3 0 -6

Structure:
Cell lengths 8.480, 6.471, 17.557 Å; angles 90.00, 104.33, 90.00 degrees
Space group P2/c (No. 13)
Asymmetric unit:
K  0.000  0.125  0.250 (multiplicity 2)
V  0.139  0.373  0.539 (multiplicity 4)
V  0.141  0.131  0.040 (multiplicity 4)
V  0.494  0.121  0.398 (multiplicity 4)
V  0.495  0.378  0.897 (multiplicity 4)
V  0.500  0.155  0.750 (multiplicity 2)
V  0.500  0.397  0.250 (multiplicity 2)
S  0.005  0.130  0.911 (multiplicity 4)
S  0.005  0.372  0.410 (multiplicity 4)
S  0.314  0.379  0.674 (multiplicity 4)
S  0.315  0.133  0.834 (multiplicity 4)
S  0.316  0.375  0.334 (multiplicity 4)
S  0.327  0.128  0.178 (multiplicity 4)
S  0.340  0.121  0.510 (multiplicity 4)
S  0.342  0.379  0.009 (multiplicity 4)



(11)
For Sr2NdCu3Pb2O8, DFT lattice parameters and positions (GGA-PBE) gives the computed powder X-ray diffraction pattern in this record (Cu Kα).

Peak list (12 most intense, 2θ = 10–90°, most intense first)
two_theta	I (rel.)	(hkl)
32.15	100	1 0 4
32.75	65	1 1 0
58.08	38	2 1 4
46.99	30	2 0 0
23.67	26	1 0 1
56.90	24	1 1 8
43.47	20	1 1 5
41.03	13	1 0 6
78.16	11	3 1 0
67.25	10	2 0 8
27.79	9	0 0 5
68.64	9	2 2 0

Structure:
Cell lengths 3.867, 3.867, 16.051 Å; angles 90.00, 90.00, 90.00 degrees
Space group P4/mmm (No. 123)
Asymmetric unit:
Sr  0.000  0.000  0.223 (multiplicity 2)
Nd  0.000  0.000  0.000 (multiplicity 1)
Cu  0.000  0.000  0.500 (multiplicity 1)
Cu  0.500  0.500  0.109 (multiplicity 2)
Pb  0.500  0.500  0.387 (multiplicity 2)
O  0.000  0.000  0.384 (multiplicity 2)
O  0.000  0.500  0.098 (multiplicity 4)
O  0.500  0.500  0.252 (multiplicity 2)